No. 1
This entry pairs a crystal structure of Ba8Tl2Bi2Pb4O17 with its simulated powder diffraction line list. Radiation: Cu Ka. Structure: the PBE geometry in the Materials Project.
Peak positions follow from Bragg's law for the DFT cell and can differ from measured ones.

Largest 8 diffraction maxima, low angle first, 2θ from 10° to 80°:
2theta	I (rel.)	hkl
27.68	100	2 0 0
29.19	44	1 -1 4
29.46	44	-1 1 4
29.56	44	1 1 -4
30.59	45	1 1 4
38.35	31	2 -2 0
40.70	24	2 2 0
57.16	17	4 0 0

Structural model:
Cell lengths 6.458, 6.459, 16.018 Å; angles 91.70, 90.96, 93.23 degrees
Space group P1 (No. 1)
Unique sites:
Ba (0.000, 0.000, 0.000) (multiplicity 1)
Ba (0.003, 0.037, 0.237) (multiplicity 1)
Ba (0.008, 0.016, 0.748) (multiplicity 1)
Ba (0.500, 0.518, 0.998) (multiplicity 1)
Ba (0.503, 0.504, 0.748) (multiplicity 1)
Ba (0.515, 0.542, 0.231) (multiplicity 1)
Ba (0.536, 0.529, 0.480) (multiplicity 1)
Ba (0.989, 0.037, 0.486) (multiplicity 1)
Tl (0.007, 0.523, 0.136) (multiplicity 1)
Tl (0.509, 0.035, 0.601) (multiplicity 1)
Bi (0.026, 0.537, 0.352) (multiplicity 1)
Bi (0.494, 0.003, 0.862) (multiplicity 1)
Pb (0.014, 0.530, 0.614) (multiplicity 1)
Pb (0.500, 0.032, 0.379) (multiplicity 1)
Pb (0.503, 0.033, 0.139) (multiplicity 1)
Pb (0.994, 0.495, 0.898) (multiplicity 1)
O (0.113, 0.609, 0.483) (multiplicity 1)
O (0.200, 0.781, 0.861) (multiplicity 1)
O (0.232, 0.241, 0.606) (multiplicity 1)
O (0.252, 0.288, 0.847) (multiplicity 1)
O (0.255, 0.260, 0.100) (multiplicity 1)
O (0.265, 0.800, 0.312) (multiplicity 1)
O (0.271, 0.776, 0.084) (multiplicity 1)
O (0.288, 0.299, 0.340) (multiplicity 1)
O (0.443, 0.932, 0.730) (multiplicity 1)
O (0.714, 0.744, 0.865) (multiplicity 1)
O (0.739, 0.265, 0.084) (multiplicity 1)
O (0.741, 0.315, 0.590) (multiplicity 1)
O (0.753, 0.782, 0.107) (multiplicity 1)
O (0.757, 0.257, 0.828) (multiplicity 1)
O (0.758, 0.767, 0.352) (multiplicity 1)
O (0.762, 0.804, 0.590) (multiplicity 1)
O (0.785, 0.261, 0.359) (multiplicity 1)

---

No. 2
This entry pairs a crystal structure of Ba2PrBiO6 with its simulated powder diffraction line list. Radiation: Cu Ka. Structure: the PBE geometry in the Materials Project.
Peak positions follow from Bragg's law for the DFT cell and can differ from measured ones.

Largest 8 diffraction maxima, low angle first, 2θ from 10° to 80°:
2theta	I (rel.)	hkl
28.28	32	2 0 -2
28.41	100	1 1 1
28.52	66	3 1 -1
40.56	37	2 2 -2
40.79	17	4 0 0
50.27	23	2 0 2
50.40	28	3 3 -1
50.51	22	4 2 0

Structural model:
Cell lengths 10.834, 6.271, 6.311 Å; angles 90.00, 125.24, 90.00 degrees
Space group C2/m (No. 12)
Unique sites:
Ba (0.248, 0.000, 0.242) (multiplicity 4)
Pr (0.000, 0.000, 0.500) (multiplicity 2)
Bi (0.000, 0.500, 0.000) (multiplicity 2)
O (0.038, 0.260, 0.801) (multiplicity 8)
O (0.237, 0.500, 0.307) (multiplicity 4)

---

No. 3
This entry pairs a crystal structure of Ba2PrBiO6 with its simulated powder diffraction line list. Radiation: Cu Ka. Structure: the PBE geometry in the Materials Project.
Peak positions follow from Bragg's law for the DFT cell and can differ from measured ones.

Largest 8 diffraction maxima, low angle first, 2θ from 10° to 80°:
2theta	I (rel.)	hkl
17.28	3	1 1 1
19.98	5	2 0 0
28.40	100	2 2 0
40.59	28	4 0 0
50.28	44	4 2 2
58.76	18	4 4 0
66.52	19	6 2 0
73.86	6	4 4 4

Structural model:
Cell lengths 8.890, 8.890, 8.890 Å; angles 90.00, 90.00, 90.00 degrees
Space group Pn-3 (No. 201, origin choice 2)
Unique sites:
Ba (0.250, 0.250, 0.250) (multiplicity 2)
Ba (0.250, 0.250, 0.750) (multiplicity 6)
Pr (0.000, 0.000, 0.000) (multiplicity 4)
Bi (0.000, 0.000, 0.500) (multiplicity 4)
O (0.025, 0.528, 0.762) (multiplicity 24)

---

No. 4
This entry pairs a crystal structure of Ba2PrBiO6 with its simulated powder diffraction line list. Radiation: Cu Ka. Structure: the PBE geometry in the Materials Project.
Peak positions follow from Bragg's law for the DFT cell and can differ from measured ones.

Largest 8 diffraction maxima, low angle first, 2θ from 10° to 80°:
2theta	I (rel.)	hkl
17.25	3	1 1 1
19.95	5	2 0 0
28.36	100	2 2 0
40.53	29	4 0 0
50.21	42	4 2 2
58.66	19	4 4 0
66.42	19	6 2 0
73.73	6	4 4 4

Structural model:
Cell lengths 8.902, 8.902, 8.902 Å; angles 90.00, 90.00, 90.00 degrees
Space group Fm-3m (No. 225)
Unique sites:
Ba (0.250, 0.250, 0.250) (multiplicity 8)
Pr (0.000, 0.000, 0.000) (multiplicity 4)
Bi (0.000, 0.000, 0.500) (multiplicity 4)
O (0.000, 0.000, 0.261) (multiplicity 24)